This entry pairs a crystal structure of Cu3Se2 with its simulated XRD peak list. Radiation: Cu Kα (weighted mean of Kα1 and Kα2). Structure: a DFT-relaxed cell (PBE, Alexandria).
No peak broadening, texture or thermal motion is included.

Main lines, most intense first (10° ≤ 2θ ≤ 90°):
2θ/deg	I/Imax
38.59	1000
47.18	880
30.08	770
50.05	667
89.91	242
62.53	226

Crystal structure
```
5
Lattice="3.8529 0.0000 0.0000 -1.9264 3.3367 0.0000 0.0000 0.0000 6.5269" Properties=species:S:1:pos:R:3 pbc="T T T"
Cu 0.0000 0.0000 0.0000
Cu 0.0000 2.2245 2.6093
Cu 1.9264 1.1122 3.9176
Se 0.0000 2.2245 5.0917
Se 1.9264 1.1122 1.4352
```

***

This entry pairs a crystal structure of KAc4Se5 with its simulated XRD peak list. Radiation: Cu Kα (weighted mean of Kα1 and Kα2). Structure: a DFT-relaxed cell (PBE, Alexandria).
No peak broadening, texture or thermal motion is included.

Main lines, most intense first (10° ≤ 2θ ≤ 90°):
2θ/deg	I/Imax
27.98	1000
40.18	966
28.22	494
24.14	220
24.34	216
49.87	207

Crystal structure
```
10
Lattice="-2.2412 3.1621 11.3418 2.2412 -3.1621 11.3418 2.2412 3.1621 -11.3418" Properties=species:S:1:pos:R:3 pbc="T T T"
K 0.0000 0.0000 0.0000
Ac 0.0000 0.0000 4.6201
Ac 0.0000 0.0000 9.0698
Ac 0.0000 0.0000 13.6138
Ac 0.0000 0.0000 18.0635
Se 2.2412 0.0000 2.3953
Se 2.2412 0.0000 6.8518
Se 0.0000 3.1621 0.0000
Se 0.0000 3.1621 4.4900
Se 0.0000 3.1621 8.9465
```